1.
Diffraction record for Mn3CrP4O16. The powder X-ray diffraction pattern is simulated, not measured: it uses the GGA+U geometry in the Materials Project and λ = 1.5418 Å (Cu Kα).

Principal peaks in the range 15 to 90 degrees two-theta, by intensity:
| two_theta | I/Imax |
| --- | --- |
| 29.9 | 100 |
| 18.0 | 71 |
| 36.4 | 67 |
| 20.3 | 61 |
| 20.5 | 50 |
| 36.1 | 43 |
| 25.4 | 42 |
| 25.2 | 38 |
| 62.2 | 23 |
| 23.4 | 22 |

Structure:
```
Mn3CrP4O16
1.0
4.863 0.000 0.000
0.000 5.972 0.000
-0.124 0.000 9.857
Mn Cr P O
3 1 4 16
direct
0.000 0.000 0.000
0.131 0.500 0.436
0.634 0.000 0.504
0.528 0.500 0.944
0.149 0.000 0.318
0.475 0.000 0.818
0.659 0.500 0.622
0.977 0.500 0.123
0.207 0.000 0.165
0.286 0.500 0.104
0.296 0.201 0.389
0.296 0.799 0.389
0.336 0.204 0.890
0.336 0.796 0.890
0.344 0.500 0.601
0.414 0.000 0.665
0.727 0.500 0.773
0.791 0.000 0.837
0.800 0.299 0.548
0.800 0.701 0.548
0.822 0.302 0.047
0.822 0.698 0.047
0.836 0.000 0.338
0.906 0.500 0.274
```

=====

2.
Diffraction record for MnCrP2O8. The powder X-ray diffraction pattern is simulated, not measured: it uses the GGA+U geometry in the Materials Project and λ = 1.5418 Å (Cu Kα).

Principal peaks in the range 15 to 90 degrees two-theta, by intensity:
| two_theta | I/Imax |
| --- | --- |
| 30.4 | 100 |
| 36.8 | 72 |
| 18.0 | 68 |
| 20.2 | 58 |
| 36.0 | 48 |
| 25.7 | 47 |
| 25.3 | 40 |
| 20.7 | 39 |
| 58.3 | 32 |
| 63.2 | 28 |

Structure:
```
MnCrP2O8
1.0
4.838 0.000 0.000
0.000 5.885 0.000
-0.297 0.000 9.861
Mn Cr P O
2 2 4 16
direct
0.070 0.250 0.222
0.930 0.750 0.778
0.451 0.250 0.725
0.549 0.750 0.275
0.096 0.750 0.094
0.392 0.750 0.594
0.608 0.250 0.406
0.904 0.250 0.906
0.155 0.750 0.942
0.213 0.250 0.884
0.253 0.543 0.666
0.253 0.957 0.666
0.256 0.548 0.168
0.256 0.952 0.168
0.290 0.250 0.382
0.332 0.750 0.441
0.668 0.250 0.559
0.710 0.750 0.618
0.744 0.048 0.832
0.744 0.452 0.832
0.747 0.043 0.334
0.747 0.457 0.334
0.787 0.750 0.116
0.845 0.250 0.058
```

=====

3.
Diffraction record for MnCrP2O8. The powder X-ray diffraction pattern is simulated, not measured: it uses the GGA+U geometry in the Materials Project and λ = 1.5418 Å (Cu Kα).

Principal peaks in the range 15 to 90 degrees two-theta, by intensity:
| two_theta | I/Imax |
| --- | --- |
| 24.5 | 100 |
| 20.6 | 73 |
| 33.7 | 61 |
| 36.2 | 38 |
| 48.2 | 27 |
| 50.2 | 25 |
| 56.6 | 21 |
| 63.5 | 20 |
| 32.1 | 15 |
| 25.5 | 14 |

Structure:
```
MnCrP2O8
1.0
4.302 2.484 6.774
-4.302 2.484 6.774
0.000 -4.968 6.774
Mn Cr P O
3 3 6 24
direct
0.000 0.000 0.000
0.210 0.210 0.210
0.710 0.710 0.710
0.355 0.355 0.355
0.498 0.498 0.498
0.855 0.855 0.855
0.105 0.807 0.404
0.308 0.605 0.902
0.404 0.105 0.807
0.605 0.902 0.308
0.807 0.404 0.105
0.902 0.308 0.605
0.033 0.844 0.252
0.105 0.760 0.916
0.106 0.292 0.450
0.177 0.960 0.366
0.252 0.033 0.844
0.262 0.603 0.420
0.292 0.450 0.106
0.352 0.533 0.747
0.366 0.177 0.960
0.420 0.262 0.603
0.450 0.106 0.292
0.461 0.675 0.868
0.533 0.747 0.352
0.603 0.420 0.262
0.608 0.952 0.791
0.675 0.868 0.461
0.747 0.352 0.533
0.760 0.916 0.105
0.791 0.608 0.952
0.844 0.252 0.033
0.868 0.461 0.675
0.916 0.105 0.760
0.952 0.791 0.608
0.960 0.366 0.177
```